[1]
Diffraction record for KBaNpO4. The powder XRD pattern is theoretical, not measured: it uses a crystal structure in Alexandria, relaxed with GGA-PBE and a wavelength of 1.5418 Å.

Atomic structure:
a = 4.4012 Å, b = 4.4012 Å, c = 13.3560 Å
α = 90.00°, β = 90.00°, γ = 90.00°
Fractional positions:
K 0.0000 0.0000 0.0000
K 0.5000 0.5000 0.5000
Ba 0.0000 0.0000 0.2946
Ba 0.5000 0.5000 0.7946
Np 0.0000 0.0000 0.6443
Np 0.5000 0.5000 0.1443
O 0.0000 0.0000 0.4925
O 0.0000 0.0000 0.7988
O 0.0000 0.5000 0.1544
O 0.0000 0.5000 0.6544
O 0.5000 0.0000 0.1544
O 0.5000 0.0000 0.6544
O 0.5000 0.5000 0.2988
O 0.5000 0.5000 0.9925

Main lines, low angle first (10° ≤ 2θ ≤ 90°):
| 2θ (°) | Rel. int. |
| --- | --- |
| 13.26 | 54.8 |
| 21.26 | 42.0 |
| 28.52 | 100.0 |
| 28.68 | 61.8 |
| 31.72 | 14.2 |
| 39.46 | 21.6 |
| 41.01 | 31.6 |
| 50.40 | 21.7 |
| 50.71 | 42.1 |
| 58.22 | 14.2 |
| 59.02 | 17.3 |
| 67.23 | 20.3 |

***

[2]
Diffraction record for NdGaP2O8. The powder XRD pattern is theoretical, not measured: it uses a crystal structure in Alexandria, relaxed with GGA-PBE and a wavelength of 1.5418 Å.

Atomic structure:
a = 4.9624 Å, b = 4.9624 Å, c = 6.8352 Å
α = 90.00°, β = 90.00°, γ = 120.00°
Fractional positions:
Nd 0.0000 0.0000 0.0000
Ga 0.0000 0.0000 0.5000
P 0.3333 0.6667 0.7547
P 0.6667 0.3333 0.2453
O 0.0895 0.3345 0.6882
O 0.2450 0.9105 0.6882
O 0.3333 0.6667 0.9805
O 0.3345 0.2450 0.3118
O 0.6655 0.7550 0.6882
O 0.6667 0.3333 0.0195
O 0.7550 0.0895 0.3118
O 0.9105 0.6655 0.3118

Main lines, low angle first (10° ≤ 2θ ≤ 90°):
| 2θ (°) | Rel. int. |
| --- | --- |
| 12.95 | 13.2 |
| 20.67 | 100.0 |
| 24.47 | 36.7 |
| 33.50 | 91.1 |
| 36.20 | 54.7 |
| 38.60 | 21.2 |
| 45.16 | 37.6 |
| 50.15 | 39.0 |
| 56.67 | 13.6 |
| 63.40 | 30.4 |
| 65.12 | 13.5 |
| 66.43 | 22.3 |